Entry 1:
Structure and simulated powder XRD pattern of ScSiSe4 (the PBE geometry in Alexandria; CuKα).
No peak broadening, texture or thermal motion is included.

Peak list (10 most intense, 15° ≤ 2θ ≤ 90°, most intense first)
hkl 1 1 2, 28.3°, I 100; hkl 3 1 2, 49.9°, I 33; hkl 2 0 4, 50.2°, I 27; hkl 2 0 0, 28.2°, I 26; hkl 2 2 0, 40.3°, I 24; hkl 1 0 1, 17.2°, I 14; hkl 4 2 4, 80.4°, I 9; hkl 1 1 6, 66.6°, I 8; hkl 3 3 2, 66.0°, I 8; hkl 3 1 6, 80.8°, I 8

Crystal structure
a b c (Å): 6.3371 6.3371 8.8697
angles (deg): 90.00 90.00 90.00
Space group P-42c (No. 112)
Asymmetric unit:
Sc 0.0000 0.0000 0.0000
Si 0.0000 0.5000 0.2500
Se 0.2351 0.2834 0.3715

Entry 2:
Structure and simulated powder XRD pattern of ScSiSe2 (the PBE geometry in Alexandria; CuKα).
No peak broadening, texture or thermal motion is included.

Peak list (10 most intense, 15° ≤ 2θ ≤ 90°, most intense first)
hkl 0 0 2, 33.8°, I 100; hkl 1 1 -2, 41.7°, I 31; hkl 1 0 1, 34.2°, I 31; hkl 0 1 1, 28.8°, I 28; hkl 2 0 -1, 46.4°, I 17; hkl 0 2 0, 47.4°, I 15; hkl 1 1 2, 54.8°, I 14; hkl 1 2 1, 59.8°, I 12; hkl 2 2 -1, 68.5°, I 10; hkl 0 1 2, 41.4°, I 9

Crystal structure
a b c (Å): 3.9152 3.8325 5.6446
angles (deg): 90.00 110.23 90.00
Space group Pm (No. 6)
Asymmetric unit:
Sc 0.0000 0.0000 0.0000
Si 0.1867 0.5000 0.3689
Se 0.4082 0.5000 0.8167
Se 0.6897 0.0000 0.3779

Entry 3:
Structure and simulated powder XRD pattern of Sc3SiSe2 (the PBE geometry in Alexandria; CuKα).
No peak broadening, texture or thermal motion is included.

Peak list (10 most intense, 15° ≤ 2θ ≤ 90°, most intense first)
hkl 1 0 3, 32.6°, I 100; hkl 2 0 0, 47.0°, I 86; hkl 0 2 0, 32.8°, I 50; hkl 0 2 6, 58.2°, I 18; hkl 2 2 0, 58.5°, I 17; hkl 0 0 6, 46.6°, I 17; hkl 2 2 6, 77.9°, I 15; hkl 1 4 3, 78.2°, I 14; hkl 3 2 3, 87.3°, I 11; hkl 2 0 6, 68.4°, I 10

Crystal structure
a b c (Å): 3.8665 5.4591 11.6866
angles (deg): 90.00 90.00 90.00
Space group Immm (No. 71)
Asymmetric unit:
Sc 0.0000 0.0000 0.0000
Sc 0.0000 0.0000 0.3435
Si 0.0000 0.5000 0.0000
Se 0.0000 0.5000 0.3305

Entry 4:
Structure and simulated powder XRD pattern of SmSc2Se3 (the PBE geometry in Alexandria; CuKα).
No peak broadening, texture or thermal motion is included.

Peak list (10 most intense, 15° ≤ 2θ ≤ 90°, most intense first)
hkl 1 0 3, 31.8°, I 100; hkl 1 2 3, 45.5°, I 89; hkl 0 2 0, 31.6°, I 53; hkl 1 4 3, 75.3°, I 22; hkl 2 2 0, 56.8°, I 19; hkl 1 1 2, 31.4°, I 18; hkl 2 0 0, 45.9°, I 18; hkl 0 2 6, 56.4°, I 17; hkl 2 2 6, 75.6°, I 14; hkl 0 1 1, 17.3°, I 14

Crystal structure
a b c (Å): 3.9553 5.6553 11.9822
angles (deg): 90.00 90.00 90.00
Space group Immm (No. 71)
Asymmetric unit:
Sm 0.0000 0.0000 0.0000
Sc 0.0000 0.0000 0.3442
Se 0.0000 0.5000 0.0000
Se 0.0000 0.5000 0.3180

Entry 5:
Structure and simulated powder XRD pattern of Sm4ScSe7 (the PBE geometry in Alexandria; CuKα).
No peak broadening, texture or thermal motion is included.

Peak list (10 most intense, 15° ≤ 2θ ≤ 90°, most intense first)
hkl 0 2 0, 45.2°, I 100; hkl 3 1 -2, 31.5°, I 83; hkl 3 1 1, 32.6°, I 83; hkl 3 1 0, 30.4°, I 76; hkl 2 0 -3, 23.2°, I 74; hkl 2 0 2, 22.8°, I 65; hkl 3 1 -1, 30.0°, I 60; hkl 1 1 4, 39.9°, I 58; hkl 3 1 -3, 34.7°, I 45; hkl 2 0 -4, 29.8°, I 43

Crystal structure
a b c (Å): 13.4381 4.0125 12.2448
angles (deg): 90.00 104.90 90.00
Space group Cm (No. 8)
Asymmetric unit:
Sm 0.0000 0.0000 0.0000
Sm 0.0867 0.5000 0.3710
Sm 0.1905 0.0000 0.7641
Sm 0.3877 0.5000 0.5646
Sc 0.2761 0.5000 0.1455
Se 0.0495 0.5000 0.6199
Se 0.1341 0.5000 0.9309
Se 0.1602 0.0000 0.2163
Se 0.2251 0.0000 0.5171
Se 0.3519 0.5000 0.7853
Se 0.3801 0.0000 0.0755
Se 0.4220 0.5000 0.3425

Entry 6:
Structure and simulated powder XRD pattern of Tb3Sm3ScSe8 (the PBE geometry in Alexandria; CuKα).
No peak broadening, texture or thermal motion is included.

Peak list (10 most intense, 15° ≤ 2θ ≤ 90°, most intense first)
hkl 0 2 4, 30.8°, I 100; hkl 2 0 8, 44.0°, I 37; hkl 2 2 0, 44.2°, I 37; hkl 4 0 4, 54.8°, I 19; hkl 2 4 4, 73.0°, I 16; hkl 2 2 12, 72.7°, I 16; hkl 0 1 2, 15.3°, I 14; hkl 1 1 0, 21.6°, I 13; hkl 4 2 8, 81.2°, I 12; hkl 0 4 8, 64.2°, I 12

Crystal structure
a b c (Å): 8.1956 8.1956 20.1857
angles (deg): 90.00 90.00 120.00
Space group R-3m (No. 166, hexagonal axes)
Asymmetric unit:
Tb 0.0000 0.5000 0.0000
Sm 0.0000 0.5000 0.5000
Sc 0.0000 0.0000 0.0000
Se 0.0000 0.0000 0.2522
Se 0.0063 0.5031 0.7461

Entry 7:
Structure and simulated powder XRD pattern of Tb3SmSc2Se6 (the PBE geometry in Alexandria; CuKα).
No peak broadening, texture or thermal motion is included.

Peak list (10 most intense, 15° ≤ 2θ ≤ 90°, most intense first)
hkl 2 0 -2, 31.3°, I 100; hkl 2 0 2, 44.9°, I 36; hkl 1 3 -3, 44.8°, I 36; hkl 0 0 4, 55.7°, I 19; hkl 3 3 -5, 74.3°, I 15; hkl 1 3 5, 82.7°, I 11; hkl 0 6 4, 74.2°, I 10; hkl 2 0 0, 27.0°, I 8; hkl 2 6 2, 65.3°, I 7; hkl 2 0 -1, 25.9°, I 7

Crystal structure
a b c (Å): 6.9826 12.1363 6.9975
angles (deg): 90.00 109.46 90.00
Space group C2/m (No. 12)
Asymmetric unit:
Tb 0.0000 0.0000 0.0000
Tb 0.0000 0.3421 0.0000
Sm 0.0000 0.5000 0.5000
Sc 0.0000 0.1641 0.5000
Se 0.2307 0.0000 0.7363
Se 0.2452 0.1747 0.2571

Entry 8:
Structure and simulated powder XRD pattern of SmTm3Sc2Se6 (the PBE geometry in Alexandria; CuKα).
No peak broadening, texture or thermal motion is included.

Peak list (10 most intense, 15° ≤ 2θ ≤ 90°, most intense first)
hkl 1 1 -2, 31.6°, I 100; hkl 0 2 0, 45.4°, I 36; hkl 5 1 2, 45.2°, I 24; hkl 6 2 0, 56.5°, I 12; hkl 2 0 -4, 45.1°, I 12; hkl 1 3 -2, 75.2°, I 11; hkl 5 3 2, 83.9°, I 10; hkl 2 2 -4, 66.0°, I 8; hkl 4 0 1, 26.1°, I 8; hkl 3 1 0, 27.3°, I 7

Crystal structure
a b c (Å): 17.4002 3.9902 8.0401
angles (deg): 90.00 103.02 90.00
Space group C2/m (No. 12)
Asymmetric unit:
Sm 0.0000 0.0000 0.0000
Tm 0.0000 0.0000 0.5000
Tm 0.1615 0.5000 0.8323
Sc 0.1646 0.5000 0.3294
Se 0.0042 0.5000 0.2620
Se 0.1698 0.0000 0.5786
Se 0.1726 0.0000 0.0923